Computed powder diffractogram of Cd2Ag5Sn for Cu Kα X-rays, from a structure optimized by DFT (PBE).

Most intense lines, 10° ≤ 2θ ≤ 80°, in order of rising 2θ:
d = 2.433 Å, 2θ = 36.95°, I 61
d = 2.387 Å, 2θ = 37.68°, I 100
d = 2.368 Å, 2θ = 37.99°, I 32
d = 2.192 Å, 2θ = 41.18°, I 8
d = 2.144 Å, 2θ = 42.15°, I 8
d = 1.728 Å, 2θ = 52.99°, I 9
d = 1.681 Å, 2θ = 54.59°, I 19
d = 1.396 Å, 2θ = 67.06°, I 14
d = 1.379 Å, 2θ = 67.96°, I 8
d = 1.370 Å, 2θ = 68.46°, I 19

a = 6.914 Å, b = 9.473 Å, c = 5.820 Å
α = 90.00°, β = 124.92°, γ = 90.00°
Space group Cm (No. 8)
Asymmetric unit:
Cd  0.000  0.234  0.000
Ag  0.000  0.268  0.499
Ag  0.180  0.500  0.926
Ag  0.187  0.000  0.431
Ag  0.282  0.000  0.998
Sn  0.278  0.500  0.492